[1]
This entry pairs a crystal structure of Tm2PaSe6 with its computed PXRD pattern. Radiation: Cu Kα (λ = 1.5418 Å). Structure: a GGA-PBE-relaxed structure.

The 10 most intense peaks (10° ≤ 2θ ≤ 80°), in order of rising 2θ:
18.9 deg, intensity 100; 25.3 deg, intensity 46; 28.7 deg, intensity 38; 37.2 deg, intensity 93; 38.3 deg, intensity 35; 43.1 deg, intensity 13; 43.6 deg, intensity 17; 46.5 deg, intensity 48; 47.9 deg, intensity 18; 59.4 deg, intensity 20

Crystal structure
```
Tm2PaSe6
1.0
6.6405 0.0000 0.0000
0.0000 6.6405 0.0000
0.0000 0.0000 12.4643
Tm Pa Se
4 2 12
direct
0.0000 0.0000 0.1663
0.0000 0.0000 0.8337
0.5000 0.5000 0.3337
0.5000 0.5000 0.6663
0.0000 0.0000 0.5000
0.5000 0.5000 0.0000
0.1985 0.1985 0.3360
0.1985 0.1985 0.6640
0.2035 0.2035 0.0000
0.2965 0.7035 0.5000
0.3015 0.6985 0.1640
0.3015 0.6985 0.8360
0.6985 0.3015 0.1640
0.6985 0.3015 0.8360
0.7035 0.2965 0.5000
0.7965 0.7965 0.0000
0.8015 0.8015 0.3360
0.8015 0.8015 0.6640
```



[2]
This entry pairs a crystal structure of BaMo with its computed PXRD pattern. Radiation: Cu Kα (λ = 1.5418 Å). Structure: a GGA-PBE-relaxed structure.

The 10 most intense peaks (10° ≤ 2θ ≤ 80°), in order of rising 2θ:
24.5 deg, intensity 28; 27.1 deg, intensity 32; 27.4 deg, intensity 73; 27.9 deg, intensity 43; 28.8 deg, intensity 100; 29.1 deg, intensity 51; 32.9 deg, intensity 39; 37.5 deg, intensity 34; 42.7 deg, intensity 91; 52.1 deg, intensity 26

Crystal structure
```
BaMo
1.0
3.6658 -2.1173 0.0000
3.6658 2.1173 0.0000
-2.5836 0.0000 9.5856
Ba Mo
2 2
direct
0.0969 0.0969 0.2736
0.9031 0.9031 0.7264
0.3333 0.3333 0.0000
0.6667 0.6667 0.0000
```



[3]
This entry pairs a crystal structure of VWBr2 with its computed PXRD pattern. Radiation: Cu Kα (λ = 1.5418 Å). Structure: a GGA-PBE-relaxed structure.

The 10 most intense peaks (10° ≤ 2θ ≤ 80°), in order of rising 2θ:
33.1 deg, intensity 100; 36.6 deg, intensity 76; 40.3 deg, intensity 32; 40.6 deg, intensity 25; 42.5 deg, intensity 34; 47.4 deg, intensity 63; 57.7 deg, intensity 36; 58.8 deg, intensity 13; 73.0 deg, intensity 26; 77.8 deg, intensity 14

Crystal structure
```
VWBr2
1.0
1.5967 0.9219 8.8888
-1.5967 0.9219 8.8888
0.0000 -1.8437 8.8888
V W Br
1 1 2
direct
0.0000 0.0000 0.0000
0.5000 0.5000 0.5000
0.0948 0.0948 0.0948
0.9052 0.9052 0.9052
```



[4]
This entry pairs a crystal structure of Ac6Mg15Cd8 with its computed PXRD pattern. Radiation: Cu Kα (λ = 1.5418 Å). Structure: a GGA-PBE-relaxed structure.

The 10 most intense peaks (10° ≤ 2θ ≤ 80°), in order of rising 2θ:
20.9 deg, intensity 56; 26.4 deg, intensity 45; 29.8 deg, intensity 21; 31.6 deg, intensity 58; 34.5 deg, intensity 100; 44.0 deg, intensity 16; 47.5 deg, intensity 14; 50.8 deg, intensity 25; 61.8 deg, intensity 19; 65.7 deg, intensity 24

Crystal structure
```
Ac6Mg15Cd8
1.0
0.0000 7.3510 7.3510
7.3510 0.0000 7.3510
7.3510 7.3510 0.0000
Ac Mg Cd
6 15 8
direct
0.2142 0.2142 0.7858
0.2142 0.7858 0.2142
0.2142 0.7858 0.7858
0.7858 0.2142 0.2142
0.7858 0.2142 0.7858
0.7858 0.7858 0.2142
0.0000 0.0000 0.5000
0.0000 0.5000 0.0000
0.0000 0.5000 0.5000
0.1731 0.1731 0.1731
0.1731 0.1731 0.4807
0.1731 0.4807 0.1731
0.4807 0.1731 0.1731
0.5000 0.0000 0.0000
0.5000 0.0000 0.5000
0.5000 0.5000 0.0000
0.5000 0.5000 0.5000
0.5193 0.8269 0.8269
0.8269 0.5193 0.8269
0.8269 0.8269 0.5193
0.8269 0.8269 0.8269
0.1252 0.6249 0.6249
0.3751 0.3751 0.3751
0.3751 0.3751 0.8748
0.3751 0.8748 0.3751
0.6249 0.1252 0.6249
0.6249 0.6249 0.1252
0.6249 0.6249 0.6249
0.8748 0.3751 0.3751
```



[5]
This entry pairs a crystal structure of ReSe2Cl5 with its computed PXRD pattern. Radiation: Cu Kα (λ = 1.5418 Å). Structure: a GGA-PBE-relaxed structure.

The 10 most intense peaks (10° ≤ 2θ ≤ 80°), in order of rising 2θ:
12.1 deg, intensity 26; 14.9 deg, intensity 100; 19.2 deg, intensity 35; 19.5 deg, intensity 39; 20.4 deg, intensity 43; 24.4 deg, intensity 75; 25.4 deg, intensity 24; 38.6 deg, intensity 48; 44.4 deg, intensity 21; 52.9 deg, intensity 19

Crystal structure
```
ReSe2Cl5
1.0
4.9297 0.0000 0.0000
-2.4592 7.5187 0.0000
-2.4640 -1.8824 7.3063
Re Se Cl
1 2 5
direct
0.0000 0.0000 0.0000
0.2095 0.5030 0.5025
0.7657 0.5032 0.5027
0.1758 0.0402 0.3118
0.1786 0.3145 0.0437
0.4852 0.0022 0.9686
0.8212 0.9577 0.6851
0.8237 0.6866 0.9604
```



[6]
This entry pairs a crystal structure of CaSi12Pt4 with its computed PXRD pattern. Radiation: Cu Kα (λ = 1.5418 Å). Structure: a GGA-PBE-relaxed structure.

The 10 most intense peaks (10° ≤ 2θ ≤ 80°), in order of rising 2θ:
21.2 deg, intensity 89; 30.1 deg, intensity 100; 33.7 deg, intensity 11; 37.1 deg, intensity 33; 43.1 deg, intensity 17; 48.5 deg, intensity 65; 53.4 deg, intensity 53; 66.8 deg, intensity 15; 71.0 deg, intensity 21; 75.0 deg, intensity 15

Crystal structure
```
CaSi12Pt4
1.0
-4.1998 4.1998 4.1998
4.1998 -4.1998 4.1998
4.1998 4.1998 -4.1998
Ca Si Pt
1 12 4
direct
0.0000 0.0000 0.0000
0.1471 0.5049 0.3577
0.1471 0.7894 0.6423
0.2106 0.3577 0.8529
0.3577 0.1471 0.5049
0.3577 0.8529 0.2106
0.4951 0.6423 0.8529
0.5049 0.3577 0.1471
0.6423 0.1471 0.7894
0.6423 0.8529 0.4951
0.7894 0.6423 0.1471
0.8529 0.2106 0.3577
0.8529 0.4951 0.6423
0.0000 0.0000 0.5000
0.0000 0.5000 0.0000
0.5000 0.0000 0.0000
0.5000 0.5000 0.5000
```



[7]
This entry pairs a crystal structure of Li2Ga2I7 with its computed PXRD pattern. Radiation: Cu Kα (λ = 1.5418 Å). Structure: a GGA-PBE-relaxed structure.

The 10 most intense peaks (10° ≤ 2θ ≤ 80°), in order of rising 2θ:
16.7 deg, intensity 21; 19.8 deg, intensity 73; 22.6 deg, intensity 28; 24.7 deg, intensity 48; 25.0 deg, intensity 23; 25.3 deg, intensity 24; 25.5 deg, intensity 100; 25.7 deg, intensity 30; 29.0 deg, intensity 35; 38.5 deg, intensity 46

Crystal structure
```
Li2Ga2I7
1.0
5.7105 -5.9966 0.0000
5.7105 5.9966 0.0000
-5.3539 0.0000 13.4855
Li Ga I
4 4 14
direct
0.0842 0.2455 0.4669
0.2455 0.0842 0.9669
0.7545 0.9158 0.0331
0.9158 0.7545 0.5331
0.0168 0.4856 0.8016
0.4856 0.0168 0.3016
0.5144 0.9832 0.6984
0.9832 0.5144 0.1984
0.0097 0.2017 0.0898
0.0970 0.5250 0.6390
0.2017 0.0097 0.5898
0.2808 0.3763 0.9004
0.2823 0.7177 0.2500
0.3763 0.2808 0.4004
0.4750 0.9030 0.8610
0.5250 0.0970 0.1390
0.6237 0.7192 0.5996
0.7177 0.2823 0.7500
0.7192 0.6237 0.0996
0.7983 0.9903 0.4102
0.9030 0.4750 0.3610
0.9903 0.7983 0.9102
```



[8]
This entry pairs a crystal structure of Li2ErCu10 with its computed PXRD pattern. Radiation: Cu Kα (λ = 1.5418 Å). Structure: a GGA-PBE-relaxed structure.

The 10 most intense peaks (10° ≤ 2θ ≤ 80°), in order of rising 2θ:
14.4 deg, intensity 52; 29.8 deg, intensity 31; 33.4 deg, intensity 34; 36.8 deg, intensity 93; 37.9 deg, intensity 53; 42.1 deg, intensity 96; 42.3 deg, intensity 75; 43.1 deg, intensity 100; 43.6 deg, intensity 80; 78.3 deg, intensity 26

Crystal structure
```
Li2ErCu10
1.0
0.0000 5.9579 6.1354
2.3733 0.0000 6.1354
2.3733 5.9579 0.0000
Li Er Cu
2 1 10
direct
0.0000 0.5000 0.0000
0.5000 0.0000 0.5000
0.0000 0.0000 0.0000
0.0000 0.0000 0.5000
0.0059 0.6430 0.3570
0.2800 0.4972 0.5028
0.3570 0.9941 0.0059
0.4972 0.2800 0.7200
0.5000 0.5000 0.0000
0.5028 0.7200 0.2800
0.6430 0.0059 0.9941
0.7200 0.5028 0.4972
0.9941 0.3570 0.6430
```



[9]
This entry pairs a crystal structure of Tb3Pr5Sm4 with its computed PXRD pattern. Radiation: Cu Kα (λ = 1.5418 Å). Structure: a GGA-PBE-relaxed structure.

The 10 most intense peaks (10° ≤ 2θ ≤ 80°), in order of rising 2θ:
30.0 deg, intensity 100; 34.8 deg, intensity 51; 50.0 deg, intensity 24; 50.1 deg, intensity 12; 59.4 deg, intensity 29; 59.5 deg, intensity 14; 62.3 deg, intensity 6; 62.4 deg, intensity 6; 73.4 deg, intensity 4; 73.5 deg, intensity 2

Crystal structure
```
Tb3Pr5Sm4
1.0
6.3160 0.0000 0.0000
-0.0167 7.2901 0.0000
-0.0171 -0.0026 8.9415
Tb Pr Sm
3 5 4
direct
0.0000 0.0000 0.0000
0.1666 0.7494 0.6661
0.8334 0.2506 0.3339
0.0000 0.5000 0.0000
0.3308 0.0003 0.3345
0.4988 0.7505 0.9996
0.5012 0.2495 0.0004
0.6692 0.9997 0.6655
0.1658 0.2502 0.6657
0.3342 0.5000 0.3354
0.6658 0.5000 0.6646
0.8342 0.7498 0.3343
```



[10]
This entry pairs a crystal structure of Ac2PaRuN4 with its computed PXRD pattern. Radiation: Cu Kα (λ = 1.5418 Å). Structure: a GGA-PBE-relaxed structure.

The 10 most intense peaks (10° ≤ 2θ ≤ 80°), in order of rising 2θ:
27.7 deg, intensity 100; 28.1 deg, intensity 44; 39.5 deg, intensity 43; 39.8 deg, intensity 87; 49.2 deg, intensity 44; 64.6 deg, intensity 21; 64.8 deg, intensity 21; 65.4 deg, intensity 19; 71.9 deg, intensity 29; 72.4 deg, intensity 15

Crystal structure
```
Ac2PaRuN4
1.0
-3.2259 3.2259 3.1808
3.2259 -3.2259 3.1808
3.2259 3.2259 -3.1808
Ac Pa Ru N
2 1 1 4
direct
0.0000 0.5000 0.5000
0.5000 0.0000 0.5000
0.0000 0.0000 0.0000
0.5000 0.5000 0.0000
0.1077 0.1077 0.6790
0.4286 0.4286 0.3210
0.5714 0.8923 0.0000
0.8923 0.5714 0.0000
```



[11]
This entry pairs a crystal structure of Zr5Tl4In with its computed PXRD pattern. Radiation: Cu Kα (λ = 1.5418 Å). Structure: a GGA-PBE-relaxed structure.

The 10 most intense peaks (10° ≤ 2θ ≤ 80°), in order of rising 2θ:
20.1 deg, intensity 10; 27.8 deg, intensity 9; 34.5 deg, intensity 100; 39.7 deg, intensity 34; 40.9 deg, intensity 16; 57.4 deg, intensity 12; 58.3 deg, intensity 22; 68.8 deg, intensity 27; 70.4 deg, intensity 12; 72.9 deg, intensity 11

Crystal structure
```
Zr5Tl4In
1.0
3.2103 0.0000 0.0000
0.0000 3.2103 0.0000
0.0000 0.0000 22.0696
Zr Tl In
5 4 1
direct
0.0000 0.0000 0.0000
0.0000 0.0000 0.2005
0.0000 0.0000 0.4022
0.0000 0.0000 0.5978
0.0000 0.0000 0.7995
0.5000 0.5000 0.1003
0.5000 0.5000 0.3010
0.5000 0.5000 0.6990
0.5000 0.5000 0.8997
0.5000 0.5000 0.5000
```